Record 1
Starting from a cell relaxed with PBE, the PXRD pattern of Pr2Er5Tm3 was computed for CuKα.
Lines closer than 0.1° are merged.

Principal peaks in the range 10 to 90 degrees two-theta, sorted by position:
2theta, d (Å), Rel. int.
30.48, 2.933, 1000
30.75, 2.908, 431
30.88, 2.896, 447
32.32, 2.770, 224
34.04, 2.634, 433
35.88, 2.503, 118
38.07, 2.364, 160
49.36, 1.846, 186
58.80, 1.570, 138
59.07, 1.564, 114
61.44, 1.509, 116
66.06, 1.414, 197

Structural model:
```
20
Lattice="5.267 -7.935 0.000 5.267 7.935 0.000 -5.230 0.000 7.736" Properties=species:S:1:pos:R:3 pbc="T T T"
Pr 1.241 2.021 0.355
Pr -1.375 -2.021 4.223
Pr 6.679 2.021 3.513
Pr 4.064 -2.021 7.381
Er -1.248 1.860 6.048
Er 1.345 4.249 5.802
Er 3.960 3.583 1.934
Er 1.367 -1.860 2.180
Er 3.960 0.438 1.934
Er 1.345 -0.438 5.802
Er 3.937 1.860 5.556
Er 1.345 -3.583 5.802
Er 3.960 -4.249 1.934
Er 6.553 -1.860 1.688
Tm 1.345 7.565 5.802
Tm 1.248 1.914 3.481
Tm -1.367 -1.914 7.349
Tm 6.671 1.914 0.388
Tm 4.056 -1.914 4.256
Tm 3.960 -7.565 1.934
```



Record 2
Starting from a cell relaxed with PBE, the PXRD pattern of Pr7Er3Tm was computed for CuKα.
Lines closer than 0.1° are merged.

Principal peaks in the range 10 to 90 degrees two-theta, sorted by position:
2theta, d (Å), Rel. int.
28.68, 3.113, 206
28.73, 3.108, 323
29.41, 3.037, 324
30.98, 2.886, 805
31.51, 2.839, 609
31.62, 2.829, 1000
32.74, 2.735, 521
33.55, 2.671, 823
49.91, 1.827, 413
54.25, 1.691, 215
59.46, 1.555, 276
60.35, 1.534, 232

Structural model:
```
22
Lattice="7.190 0.000 0.000 3.589 9.710 0.000 3.578 3.948 11.356" Properties=species:S:1:pos:R:3 pbc="T T T"
Pr 0.000 0.000 0.000
Pr 3.572 6.806 5.622
Pr 6.811 12.007 8.206
Pr 5.364 8.099 2.776
Pr 5.432 5.219 8.450
Pr 7.163 7.497 10.787
Pr 7.176 10.355 5.054
Pr 7.220 6.829 5.677
Pr 10.812 13.632 11.295
Pr 5.379 2.249 2.275
Pr 9.035 9.092 7.955
Pr 7.583 5.176 2.525
Pr 10.823 10.378 5.105
Pr 10.810 7.474 10.728
Er 1.794 1.961 2.265
Er 5.431 8.788 7.941
Er 5.399 3.738 5.361
Er 8.985 10.564 11.046
Er 8.966 8.394 2.787
Er 9.018 5.516 8.466
Tm 8.994 3.737 5.368
Tm 12.581 10.564 11.043
```



Record 3
Starting from a cell relaxed with PBE, the PXRD pattern of Pr5Er4Tm was computed for CuKα.
Lines closer than 0.1° are merged.

Principal peaks in the range 10 to 90 degrees two-theta, sorted by position:
2theta, d (Å), Rel. int.
30.31, 2.948, 1000
30.50, 2.931, 329
35.11, 2.556, 224
35.24, 2.547, 449
50.51, 1.807, 241
50.70, 1.801, 159
50.86, 1.795, 79
60.07, 1.540, 190
60.18, 1.538, 96
60.26, 1.536, 141
60.44, 1.532, 94
63.02, 1.475, 82

Structural model:
```
10
Lattice="3.612 0.000 0.000 1.797 9.346 0.000 0.009 2.844 9.819" Properties=species:S:1:pos:R:3 pbc="T T T"
Pr 0.000 0.000 0.000
Pr 1.801 5.890 0.990
Pr 1.813 3.831 6.804
Pr 3.605 8.360 3.014
Pr 3.617 6.301 8.829
Er 1.805 7.328 5.888
Er 1.806 2.468 2.023
Er 3.612 9.723 7.795
Er 3.613 4.863 3.931
Tm 0.004 1.422 4.909
```